Record 1
# Pm7Pr4Er
Simulated XRD peak list, Cu Kα. Input: DFT lattice parameters and positions (GGA-PBE).
Kinematic intensities with the Lorentz-polarization factor, no thermal factor.

Cell and atoms:
```
12
Lattice="6.378 0.000 0.000 0.008 7.355 0.000 2.153 0.010 8.902" Properties=species:S:1:pos:R:3 pbc="T T T"
Pm 0.000 0.000 0.000
Pm 2.106 3.684 2.946
Pm 3.230 1.863 5.979
Pm 5.340 1.864 8.899
Pm 3.199 5.501 0.003
Pm 5.308 5.502 2.923
Pm 6.432 3.681 5.956
Pr 2.130 0.004 2.951
Pr 3.238 5.504 5.968
Pr 5.301 1.861 2.934
Pr 6.409 7.361 5.951
Er 0.004 3.678 0.000
```

The 10 most intense peaks (15° ≤ 2θ ≤ 90°), by intensity:
two_theta  intensity  h k l
31.1  100  2 0 2
32.7  82  2 0 -1
30.1  49  0 0 3
49.5  37  3 2 1
28.2  36  1 -2 0
59.1  29  3 2 -2
59.7  16  2 -4 2
53.1  15  1 2 -4
59.0  15  3 2 4
28.8  13  1 -2 1



Record 2
# Ce3Si2Ni2
Simulated XRD peak list, Cu Kα. Input: DFT lattice parameters and positions (GGA-PBE).
Kinematic intensities with the Lorentz-polarization factor, no thermal factor.

Cell and atoms:
```
28
Lattice="5.566 0.000 0.000 0.000 7.824 0.000 0.000 0.000 12.505" Properties=species:S:1:pos:R:3 pbc="T T T"
Ce 0.782 0.854 1.232
Ce 0.782 0.854 5.020
Ce 0.782 3.058 7.485
Ce 0.782 3.058 11.273
Ce 1.928 5.780 9.379
Ce 1.928 5.957 3.126
Ce 3.638 1.867 9.379
Ce 3.638 2.045 3.126
Ce 4.784 4.766 1.232
Ce 4.784 4.766 5.020
Ce 4.784 6.970 7.485
Ce 4.784 6.970 11.273
Si 0.914 0.744 9.379
Si 0.914 3.168 3.126
Si 1.992 5.868 0.000
Si 1.992 5.868 6.252
Si 3.574 1.956 0.000
Si 3.574 1.956 6.252
Si 4.652 4.656 9.379
Si 4.652 7.081 3.126
Ni 2.138 0.259 7.379
Ni 2.138 0.259 11.379
Ni 2.138 3.653 1.126
Ni 2.138 3.653 5.126
Ni 3.428 4.171 7.379
Ni 3.428 4.171 11.379
Ni 3.428 7.565 1.126
Ni 3.428 7.565 5.126
```

The 10 most intense peaks (15° ≤ 2θ ≤ 90°), by intensity:
two_theta  intensity  h k l
40.7  100  2 1 3
38.1  74  1 3 0
34.9  70  1 1 4
31.4  65  0 2 3
34.2  64  2 1 0
35.4  51  1 2 3
24.2  50  1 1 2
43.4  40  0 0 6
36.8  39  0 2 4
59.1  34  1 3 6



Record 3
# TaRuW2
Simulated XRD peak list, Cu Kα. Input: DFT lattice parameters and positions (GGA-PBE).
Kinematic intensities with the Lorentz-polarization factor, no thermal factor.

Cell and atoms:
```
8
Lattice="3.215 0.000 0.000 0.000 4.415 0.000 0.000 0.000 9.088" Properties=species:S:1:pos:R:3 pbc="T T T"
Ta 0.000 0.000 0.000
Ta 1.607 2.208 4.544
Ru 0.000 0.000 4.544
Ru 1.607 2.208 0.000
W 0.000 2.208 2.311
W 0.000 2.208 6.778
W 1.607 0.000 2.233
W 1.607 0.000 6.855
```

The 10 most intense peaks (15° ≤ 2θ ≤ 90°), by intensity:
two_theta  intensity  h k l
40.0  100  1 1 2
39.7  25  0 0 4
40.9  25  0 2 0
72.2  17  1 1 6
58.3  17  0 2 4
73.8  17  1 3 2
86.2  11  2 2 4
72.0  9  2 0 4
57.3  9  2 0 0
72.8  9  2 2 0